No. 1
For Pr12Tl4SnO3, DFT lattice parameters and positions (GGA-PBE) gives the theoretical X-ray powder pattern in this record (Cu Kα).
Intensities are scaled so that the largest is 100.

Largest 8 diffraction maxima, in order of rising 2θ, 15 to 90 degrees two-theta:
23.9 deg, I = 8.7; 29.4 deg, I = 100.0; 34.1 deg, I = 66.9; 49.0 deg, I = 46.3; 58.2 deg, I = 40.7; 61.0 deg, I = 15.3; 79.4 deg, I = 15.1; 81.9 deg, I = 18.7

Structure:
```
Pr12Tl4SnO3
1.0
-5.2605 5.2605 5.2605
5.2605 -5.2605 5.2605
5.2605 5.2605 -5.2605
Pr Tl Sn O
12 4 1 3
Cartesian
2.8904 0.0000 0.0000 Pr
7.6307 0.0000 0.0000 Pr
5.2605 2.6303 0.0000 Pr
5.2605 0.0000 2.6303 Pr
0.0000 2.8904 0.0000 Pr
0.0000 0.0000 2.8904 Pr
2.6303 5.2605 0.0000 Pr
2.6303 0.0000 5.2605 Pr
0.0000 7.6307 0.0000 Pr
0.0000 0.0000 7.6307 Pr
0.0000 5.2605 2.6303 Pr
0.0000 2.6303 5.2605 Pr
2.6303 2.6303 -2.6303 Tl
2.6303 -2.6303 2.6303 Tl
-2.6303 2.6303 2.6303 Tl
2.6303 2.6303 2.6303 Tl
0.0000 0.0000 0.0000 Sn
5.2605 0.0000 0.0000 O
0.0000 5.2605 0.0000 O
0.0000 0.0000 5.2605 O
```

No. 2
For Pr4Y2Sn3O2, DFT lattice parameters and positions (GGA-PBE) gives the theoretical X-ray powder pattern in this record (Cu Kα).
Intensities are scaled so that the largest is 100.

Largest 8 diffraction maxima, in order of rising 2θ, 15 to 90 degrees two-theta:
27.0 deg, I = 38.0; 29.6 deg, I = 21.3; 33.6 deg, I = 100.0; 35.1 deg, I = 12.3; 37.1 deg, I = 53.8; 52.0 deg, I = 15.8; 53.5 deg, I = 18.7; 64.7 deg, I = 30.7

Structure:
```
Pr4Y2Sn3O2
1.0
-2.4207 2.4207 12.7878
2.4207 -2.4207 12.7878
2.4207 2.4207 -12.7878
Pr Y Sn O
4 2 3 2
Cartesian
2.4207 0.0000 2.1522 Pr
2.4207 0.0000 10.6356 Pr
0.0000 2.4207 2.1522 Pr
0.0000 2.4207 10.6356 Pr
0.0000 0.0000 4.9923 Y
0.0000 0.0000 20.5832 Y
0.0000 0.0000 8.1692 Sn
0.0000 0.0000 12.7878 Sn
0.0000 0.0000 17.4064 Sn
0.0000 0.0000 2.7397 O
0.0000 0.0000 22.8358 O
```

No. 3
For SrPr3O6, DFT lattice parameters and positions (GGA-PBE) gives the theoretical X-ray powder pattern in this record (Cu Kα).
Intensities are scaled so that the largest is 100.

Largest 8 diffraction maxima, in order of rising 2θ, 15 to 90 degrees two-theta:
22.1 deg, I = 37.0; 24.9 deg, I = 25.0; 27.6 deg, I = 100.0; 28.2 deg, I = 45.2; 30.5 deg, I = 59.1; 40.2 deg, I = 23.2; 47.0 deg, I = 31.5; 48.6 deg, I = 24.1

Structure:
```
SrPr3O6
1.0
5.1191 2.9555 4.0280
-5.1191 2.9555 4.0280
0.0000 -5.9110 4.0280
Sr Pr O
2 6 12
Cartesian
0.0000 0.0000 0.0000 Sr
0.0000 0.0000 6.0420 Sr
-2.5997 -2.6161 5.4984 Pr
-3.5655 0.9433 6.5856 Pr
0.9658 -3.5594 6.5856 Pr
-0.9658 3.5594 5.4984 Pr
3.5655 -0.9433 5.4984 Pr
2.5997 2.6161 6.5856 Pr
-4.4526 -1.3024 6.3753 O
-1.0984 -4.5072 5.7087 O
-2.2270 -0.2373 4.8932 O
-3.3542 3.2048 5.7087 O
-0.9080 -2.0472 7.1908 O
1.3190 -1.8099 4.8932 O
-1.3190 1.8100 7.1908 O
0.9080 2.0472 4.8932 O
3.3542 -3.2048 6.3753 O
2.2269 0.2373 7.1908 O
1.0984 4.5072 6.3753 O
4.4526 1.3024 5.7087 O
```

No. 4
For Pr2Ta2O9, DFT lattice parameters and positions (GGA-PBE) gives the theoretical X-ray powder pattern in this record (Cu Kα).
Intensities are scaled so that the largest is 100.

Largest 8 diffraction maxima, in order of rising 2θ, 15 to 90 degrees two-theta:
23.3 deg, I = 87.4; 23.6 deg, I = 52.6; 28.5 deg, I = 43.4; 28.8 deg, I = 65.4; 29.4 deg, I = 100.0; 30.0 deg, I = 54.7; 32.8 deg, I = 46.7; 35.5 deg, I = 50.6

Structure:
```
Pr2Ta2O9
1.0
7.8140 -1.9538 0.0000
7.8140 1.9538 0.0000
-2.4852 0.0000 6.2537
Pr Ta O
2 2 9
Cartesian
2.5615 0.0000 1.1649 Pr
10.5812 0.0000 5.0888 Pr
6.7072 0.0000 1.2192 Ta
6.4356 0.0000 5.0344 Ta
-1.3288 0.0000 5.2497 O
2.0448 0.0000 3.5366 O
4.8630 0.0000 0.5177 O
4.4701 0.0000 5.2768 O
6.5714 0.0000 3.1268 O
8.6727 0.0000 0.9768 O
8.2797 0.0000 5.7360 O
11.0980 0.0000 2.7170 O
14.4716 0.0000 1.0040 O
```